# 1
Structure and simulated X-ray diffraction stick pattern of TbSiNi (the GGA-PBE geometry in the Materials Project; Cu Kα X-rays).

Crystal structure
```
data_TbSiNi
_chemical_formula_sum 'Tb4 Si4 Ni4'
_cell_length_a 6.9410
_cell_length_b 4.1975
_cell_length_c 7.1872
_cell_angle_alpha 90.00
_cell_angle_beta 90.00
_cell_angle_gamma 90.00
_symmetry_space_group_name_H-M 'P n m a'
_symmetry_Int_Tables_number 62
_symmetry_space_group_name_Hall '-P 2ac 2n'
loop_
_atom_site_label
_atom_site_type_symbol
_atom_site_fract_x
_atom_site_fract_y
_atom_site_fract_z
Tb1 Tb 0.0125 0.2500 0.1957
Si1 Si 0.1964 0.2500 0.5965
Ni1 Ni 0.1592 0.7500 0.4246
```

Principal peaks in the range 2θ = 5–70°, by intensity:
- d 2.507, 35.82 deg, I 100
- d 2.540, 35.33 deg, I 66
- d 3.625, 24.56 deg, I 46
- d 2.496, 35.98 deg, I 35
- d 2.099, 43.10 deg, I 32
- d 1.607, 57.35 deg, I 30



# 2
Structure and simulated X-ray diffraction stick pattern of Tb2Si5Ni3 (the GGA-PBE geometry in the Materials Project; Cu Kα X-rays).

Crystal structure
```
data_Tb2Si5Ni3
_chemical_formula_sum 'Tb8 Si20 Ni12'
_cell_length_a 9.5807
_cell_length_b 11.1656
_cell_length_c 5.6605
_cell_angle_alpha 90.00
_cell_angle_beta 90.00
_cell_angle_gamma 90.00
_symmetry_space_group_name_H-M 'I b a m'
_symmetry_Int_Tables_number 72
_symmetry_space_group_name_Hall '-I 2 2c'
loop_
_atom_site_label
_atom_site_type_symbol
_atom_site_fract_x
_atom_site_fract_y
_atom_site_fract_z
Tb1 Tb 0.2368 0.1312 0.0000
Si1 Si 0.0000 0.0000 0.2500
Si2 Si 0.0000 0.2666 0.2500
Si3 Si 0.1523 0.3926 0.0000
Ni1 Ni 0.0000 0.5000 0.2500
Ni2 Ni 0.1117 0.1342 0.5000
```

Principal peaks in the range 2θ = 5–70°, by intensity:
- d 2.490, 36.08 deg, I 100
- d 1.987, 45.65 deg, I 55
- d 2.437, 36.89 deg, I 53
- d 2.412, 37.28 deg, I 50
- d 3.671, 24.24 deg, I 49
- d 1.726, 53.06 deg, I 27



# 3
Structure and simulated X-ray diffraction stick pattern of Tb3Si3Ni (the GGA-PBE geometry in the Materials Project; Cu Kα X-rays).

Crystal structure
```
data_Tb3Si3Ni
_chemical_formula_sum 'Tb6 Si6 Ni2'
_cell_length_a 3.9351
_cell_length_b 4.1540
_cell_length_c 17.4606
_cell_angle_alpha 90.00
_cell_angle_beta 90.00
_cell_angle_gamma 90.00
_symmetry_space_group_name_H-M 'I m m 2'
_symmetry_Int_Tables_number 44
_symmetry_space_group_name_Hall 'I 2 -2'
loop_
_atom_site_label
_atom_site_type_symbol
_atom_site_fract_x
_atom_site_fract_y
_atom_site_fract_z
Tb1 Tb 0.0000 0.0000 0.0000
Tb2 Tb 0.0000 0.0000 0.3668
Tb3 Tb 0.0000 0.5000 0.6811
Si1 Si 0.0000 0.0000 0.5441
Si2 Si 0.0000 0.0000 0.8253
Si3 Si 0.0000 0.5000 0.2411
Ni1 Ni 0.0000 0.5000 0.1142
```

Principal peaks in the range 2θ = 5–70°, by intensity:
- d 2.715, 32.99 deg, I 100
- d 2.673, 33.52 deg, I 58
- d 3.260, 27.36 deg, I 58
- d 1.585, 58.22 deg, I 24
- d 2.077, 43.58 deg, I 23
- d 2.910, 30.72 deg, I 21



# 4
Structure and simulated X-ray diffraction stick pattern of TbSi2Ni2 (the GGA-PBE geometry in the Materials Project; Cu Kα X-rays).

Crystal structure
```
data_TbSi2Ni2
_chemical_formula_sum 'Tb2 Si4 Ni4'
_cell_length_a 3.9773
_cell_length_b 3.9773
_cell_length_c 9.5174
_cell_angle_alpha 90.00
_cell_angle_beta 90.00
_cell_angle_gamma 90.00
_symmetry_space_group_name_H-M 'I 4/m m m'
_symmetry_Int_Tables_number 139
_symmetry_space_group_name_Hall '-I 4 2'
loop_
_atom_site_label
_atom_site_type_symbol
_atom_site_fract_x
_atom_site_fract_y
_atom_site_fract_z
Tb1 Tb 0.0000 0.0000 0.0000
Si1 Si 0.0000 0.0000 0.3729
Ni1 Ni 0.0000 0.5000 0.2500
```

Principal peaks in the range 2θ = 5–70°, by intensity:
- d 2.421, 37.13 deg, I 100
- d 2.480, 36.22 deg, I 52
- d 3.670, 24.25 deg, I 49
- d 1.989, 45.62 deg, I 40
- d 1.551, 59.59 deg, I 24
- d 1.382, 67.83 deg, I 17



# 5
Structure and simulated X-ray diffraction stick pattern of TbSiNi4 (the GGA-PBE geometry in the Materials Project; Cu Kα X-rays).

Crystal structure
```
data_TbSiNi4
_chemical_formula_sum 'Tb2 Si2 Ni8'
_cell_length_a 5.0725
_cell_length_b 8.1789
_cell_length_c 3.9560
_cell_angle_alpha 90.00
_cell_angle_beta 90.00
_cell_angle_gamma 90.00
_symmetry_space_group_name_H-M 'C m m m'
_symmetry_Int_Tables_number 65
_symmetry_space_group_name_Hall '-C 2 2'
loop_
_atom_site_label
_atom_site_type_symbol
_atom_site_fract_x
_atom_site_fract_y
_atom_site_fract_z
Tb1 Tb 0.0000 0.0000 0.0000
Si1 Si 0.0000 0.5000 0.5000
Ni1 Ni 0.0000 0.3421 0.0000
Ni2 Ni 0.2500 0.2500 0.5000
```

Principal peaks in the range 2θ = 5–70°, by intensity:
- d 2.053, 44.12 deg, I 100
- d 2.135, 42.33 deg, I 87
- d 2.843, 31.46 deg, I 55
- d 2.401, 37.45 deg, I 54
- d 1.978, 45.88 deg, I 45
- d 2.155, 41.91 deg, I 41



# 6
Structure and simulated X-ray diffraction stick pattern of TbSi3Ni8 (the GGA-PBE geometry in the Materials Project; Cu Kα X-rays).

Crystal structure
```
data_TbSi3Ni8
_chemical_formula_sum 'Tb4 Si12 Ni32'
_cell_length_a 6.3076
_cell_length_b 13.6153
_cell_length_c 7.4830
_cell_angle_alpha 90.00
_cell_angle_beta 113.69
_cell_angle_gamma 90.00
_symmetry_space_group_name_H-M 'C 1 2/c 1'
_symmetry_Int_Tables_number 15
_symmetry_space_group_name_Hall '-C 2yc'
loop_
_atom_site_label
_atom_site_type_symbol
_atom_site_fract_x
_atom_site_fract_y
_atom_site_fract_z
Tb1 Tb 0.0000 0.1304 0.2500
Si1 Si 0.2301 0.4538 0.3244
Si2 Si 0.2500 0.2500 0.0000
Ni1 Ni 0.0000 0.3773 0.7500
Ni2 Ni 0.0000 0.5000 0.0000
Ni3 Ni 0.0314 0.3310 0.4219
Ni4 Ni 0.1354 0.0751 0.9312
Ni5 Ni 0.1424 0.2095 0.6721
```

Principal peaks in the range 2θ = 5–70°, by intensity:
- d 2.165, 41.71 deg, I 100
- d 2.175, 41.51 deg, I 93
- d 2.154, 41.94 deg, I 91
- d 2.216, 40.72 deg, I 85
- d 2.182, 41.39 deg, I 79
- d 2.887, 30.98 deg, I 76



# 7
Structure and simulated X-ray diffraction stick pattern of Ti2SiNi3 (the GGA-PBE geometry in the Materials Project; Cu Kα X-rays).

Crystal structure
```
data_Ti2SiNi3
_chemical_formula_sum 'Ti4 Si2 Ni6'
_cell_length_a 4.7984
_cell_length_b 4.7984
_cell_length_c 7.5028
_cell_angle_alpha 90.00
_cell_angle_beta 90.00
_cell_angle_gamma 120.00
_symmetry_space_group_name_H-M 'P 63/m m c'
_symmetry_Int_Tables_number 194
_symmetry_space_group_name_Hall '-P 6c 2c'
loop_
_atom_site_label
_atom_site_type_symbol
_atom_site_fract_x
_atom_site_fract_y
_atom_site_fract_z
Ti1 Ti 0.3333 0.6667 0.0585
Si1 Si 0.0000 0.0000 0.0000
Ni1 Ni 0.1699 0.3397 0.7500
```

Principal peaks in the range 2θ = 5–70°, by intensity:
- d 2.002, 45.29 deg, I 100
- d 2.021, 44.84 deg, I 69
- d 2.143, 42.17 deg, I 55
- d 3.751, 23.72 deg, I 22
- d 2.078, 43.56 deg, I 19
- d 1.876, 48.54 deg, I 19



# 8
Structure and simulated X-ray diffraction stick pattern of Ti6Si7Ni16 (the GGA-PBE geometry in the Materials Project; Cu Kα X-rays).

Crystal structure
```
data_Ti6Si7Ni16
_chemical_formula_sum 'Ti24 Si28 Ni64'
_cell_length_a 11.1720
_cell_length_b 11.1720
_cell_length_c 11.1720
_cell_angle_alpha 90.00
_cell_angle_beta 90.00
_cell_angle_gamma 90.00
_symmetry_space_group_name_H-M 'F m -3 m'
_symmetry_Int_Tables_number 225
_symmetry_space_group_name_Hall '-F 4 2 3'
loop_
_atom_site_label
_atom_site_type_symbol
_atom_site_fract_x
_atom_site_fract_y
_atom_site_fract_z
Ti1 Ti 0.0000 0.0000 0.2018
Si1 Si 0.0000 0.0000 0.5000
Si2 Si 0.0000 0.2500 0.2500
Ni1 Ni 0.1178 0.1178 0.3822
Ni2 Ni 0.1655 0.1655 0.1655
```

Principal peaks in the range 2θ = 5–70°, by intensity:
- d 1.975, 45.95 deg, I 100
- d 2.150, 42.02 deg, I 84
- d 1.888, 48.19 deg, I 31
- d 2.793, 32.05 deg, I 18
- d 2.280, 39.52 deg, I 15
- d 1.862, 48.92 deg, I 13



# 9
Structure and simulated X-ray diffraction stick pattern of Tm3Si3Ni (the GGA-PBE geometry in the Materials Project; Cu Kα X-rays).

Crystal structure
```
data_Tm3Si3Ni
_chemical_formula_sum 'Tm12 Si12 Ni4'
_cell_length_a 10.2193
_cell_length_b 4.1342
_cell_length_c 13.3483
_cell_angle_alpha 90.00
_cell_angle_beta 110.62
_cell_angle_gamma 90.00
_symmetry_space_group_name_H-M 'C 1 2/m 1'
_symmetry_Int_Tables_number 12
_symmetry_space_group_name_Hall '-C 2y'
loop_
_atom_site_label
_atom_site_type_symbol
_atom_site_fract_x
_atom_site_fract_y
_atom_site_fract_z
Tm1 Tm 0.0282 0.0000 0.3800
Tm2 Tm 0.1026 0.0000 0.9219
Tm3 Tm 0.2435 0.0000 0.2276
Si1 Si 0.0422 0.5000 0.2354
Si2 Si 0.1135 0.5000 0.0760
Si3 Si 0.1362 0.5000 0.5439
Ni1 Ni 0.2446 0.5000 0.4035
```

Principal peaks in the range 2θ = 5–70°, by intensity:
- d 2.628, 34.12 deg, I 100
- d 2.596, 34.55 deg, I 84
- d 3.793, 23.45 deg, I 81
- d 2.621, 34.22 deg, I 61
- d 2.143, 42.16 deg, I 59
- d 3.177, 28.09 deg, I 56



# 10
Structure and simulated X-ray diffraction stick pattern of TmSi2Ni2 (the GGA-PBE geometry in the Materials Project; Cu Kα X-rays).

Crystal structure
```
data_TmSi2Ni2
_chemical_formula_sum 'Tm2 Si4 Ni4'
_cell_length_a 3.9344
_cell_length_b 3.9344
_cell_length_c 9.4763
_cell_angle_alpha 90.00
_cell_angle_beta 90.00
_cell_angle_gamma 90.00
_symmetry_space_group_name_H-M 'I 4/m m m'
_symmetry_Int_Tables_number 139
_symmetry_space_group_name_Hall '-I 4 2'
loop_
_atom_site_label
_atom_site_type_symbol
_atom_site_fract_x
_atom_site_fract_y
_atom_site_fract_z
Tm1 Tm 0.0000 0.0000 0.0000
Si1 Si 0.0000 0.0000 0.3745
Ni1 Ni 0.0000 0.5000 0.2500
```

Principal peaks in the range 2θ = 5–70°, by intensity:
- d 2.399, 37.49 deg, I 100
- d 3.634, 24.50 deg, I 53
- d 2.463, 36.48 deg, I 53
- d 1.967, 46.14 deg, I 39
- d 1.537, 60.20 deg, I 25
- d 1.707, 53.68 deg, I 17



# 11
Structure and simulated X-ray diffraction stick pattern of TmSi2Ni (the GGA-PBE geometry in the Materials Project; Cu Kα X-rays).

Crystal structure
```
data_TmSi2Ni
_chemical_formula_sum 'Tm4 Si8 Ni4'
_cell_length_a 3.9229
_cell_length_b 16.5109
_cell_length_c 3.9258
_cell_angle_alpha 90.00
_cell_angle_beta 90.00
_cell_angle_gamma 90.00
_symmetry_space_group_name_H-M 'C m c m'
_symmetry_Int_Tables_number 63
_symmetry_space_group_name_Hall '-C 2c 2'
loop_
_atom_site_label
_atom_site_type_symbol
_atom_site_fract_x
_atom_site_fract_y
_atom_site_fract_z
Tm1 Tm 0.0000 0.1055 0.2500
Si1 Si 0.0000 0.2509 0.7500
Si2 Si 0.0000 0.4604 0.2500
Ni1 Ni 0.0000 0.3245 0.2500
```

Principal peaks in the range 2θ = 5–70°, by intensity:
- d 2.478, 36.26 deg, I 100
- d 2.526, 35.54 deg, I 72
- d 2.737, 32.73 deg, I 71
- d 1.962, 46.27 deg, I 58
- d 4.128, 21.53 deg, I 38
- d 3.545, 25.12 deg, I 32



# 12
Structure and simulated X-ray diffraction stick pattern of USiNi (the GGA-PBE geometry in the Materials Project; Cu Kα X-rays).

Crystal structure
```
data_USiNi
_chemical_formula_sum 'U4 Si4 Ni4'
_cell_length_a 7.2929
_cell_length_b 3.7808
_cell_length_c 6.8803
_cell_angle_alpha 90.00
_cell_angle_beta 90.00
_cell_angle_gamma 90.00
_symmetry_space_group_name_H-M 'P n m a'
_symmetry_Int_Tables_number 62
_symmetry_space_group_name_Hall '-P 2ac 2n'
loop_
_atom_site_label
_atom_site_type_symbol
_atom_site_fract_x
_atom_site_fract_y
_atom_site_fract_z
U1 U 0.0017 0.2500 0.1323
Si1 Si 0.1965 0.2500 0.6271
Ni1 Ni 0.1252 0.7500 0.4375
```

Principal peaks in the range 2θ = 5–70°, by intensity:
- d 2.402, 37.43 deg, I 100
- d 2.452, 36.65 deg, I 50
- d 5.005, 17.72 deg, I 44
- d 3.646, 24.41 deg, I 42
- d 2.292, 39.31 deg, I 27
- d 3.313, 26.91 deg, I 24



# 13
Structure and simulated X-ray diffraction stick pattern of U4SiNi7 (the GGA-PBE geometry in the Materials Project; Cu Kα X-rays).

Crystal structure
```
data_U4SiNi7
_chemical_formula_sum 'U4 Si1 Ni7'
_cell_length_a 5.0750
_cell_length_b 5.0750
_cell_length_c 7.8548
_cell_angle_alpha 90.00
_cell_angle_beta 90.00
_cell_angle_gamma 120.00
_symmetry_space_group_name_H-M 'P -3 m 1'
_symmetry_Int_Tables_number 164
_symmetry_space_group_name_Hall '-P 3 2"'
loop_
_atom_site_label
_atom_site_type_symbol
_atom_site_fract_x
_atom_site_fract_y
_atom_site_fract_z
U1 U 0.3333 0.6667 0.0817
U2 U 0.3333 0.6667 0.4372
Si1 Si 0.0000 0.0000 0.0000
Ni1 Ni 0.0000 0.0000 0.5000
Ni2 Ni 0.1678 0.3355 0.7537
```

Principal peaks in the range 2θ = 5–70°, by intensity:
- d 2.249, 40.09 deg, I 100
- d 2.537, 35.37 deg, I 70
- d 2.131, 42.41 deg, I 68
- d 2.116, 42.73 deg, I 51
- d 1.403, 66.68 deg, I 46
- d 4.395, 20.20 deg, I 31